The following is a calculated powder diffraction line list of Ce5GaBi3. It was derived from DFT lattice parameters and positions (GGA-PBE), using copper Kα.

The 10 most intense peaks (2θ = 5–70°), low angle first:
d [Å], I/Imax, hkl
3.244, 20, 0 0 2
2.839, 84, 2 1 1
2.785, 89, 3 0 0
2.692, 100, 1 1 2
2.182, 25, 3 1 1
1.935, 26, 2 2 2
1.784, 22, 2 1 3
1.580, 15, 4 2 0
1.534, 16, 4 2 1
1.402, 22, 3 0 4

Atomic structure:
```
Ce5GaBi3
1.0
9.647 0.000 0.000
-4.823 8.354 0.000
0.000 0.000 6.488
Ce Ga Bi
10 2 6
direct
0.000 0.262 0.250
0.000 0.738 0.750
0.262 0.000 0.250
0.262 0.262 0.750
0.333 0.667 0.000
0.333 0.667 0.500
0.667 0.333 0.000
0.667 0.333 0.500
0.738 0.000 0.750
0.738 0.738 0.250
0.000 0.000 0.000
0.000 0.000 0.500
0.000 0.382 0.750
0.000 0.618 0.250
0.382 0.000 0.750
0.382 0.382 0.250
0.618 0.000 0.250
0.618 0.618 0.750
```